Structure and computed XRD peak list of Dy2MgS3 (the PBE geometry in OQMD; Cu Kα (weighted mean of Kα1 and Kα2)).

Atomic structure:
Cell lengths 3.8150, 3.8150, 9.5498 Å; angles 90.00, 90.00, 120.00 degrees
Positions (direct):
Dy1 0.3333 0.6667 0.1600
Dy2 0.6667 0.3333 0.8400
Mg1 0.0000 0.0000 0.5000
S1 0.0000 0.0000 0.0000
S2 0.3333 0.6667 0.6521
S3 0.6667 0.3333 0.3479

Main lines, by angle (2θ from 15° to 90°):
Position (°2θ)  I (rel.)  h k l
26.99  13  1 0 0
28.03  13  0 0 3
28.59  49  1 0 1
32.97  100  0 1 2
46.96  32  1 0 4
47.67  31  1 1 0
55.59  11  0 1 5
56.22  13  1 1 3
59.18  18  2 0 2
78.22  13  1 1 6
79.30  16  1 2 2
88.33  11  2 1 4